(1)
For La2NiO4, a structure optimized by DFT (GGA+U) gives the computed X-ray diffraction stick pattern in this record (Cu Kα X-rays).
Neutral-atom scattering factors, no anomalous dispersion.

Cell and atoms:
```
data_La2NiO4
_chemical_formula_sum 'La8 Ni4 O16'
_symmetry_space_group_name_H-M 'C m c 21'
_symmetry_Int_Tables_number 36
_cell_length_a 4.0147
_cell_length_b 13.8634
_cell_length_c 7.2399
_cell_angle_alpha 90.00
_cell_angle_beta 90.00
_cell_angle_gamma 90.00
loop_
_symmetry_equiv_pos_as_xyz
'x,y,z'
'-x,-y,z+1/2'
'-x,y,z'
'x,-y,z+1/2'
'x+1/2,y+1/2,z'
'-x+1/2,-y+1/2,z+1/2'
'-x+1/2,y+1/2,z'
'x+1/2,-y+1/2,z+1/2'
loop_
_atom_site_label
_atom_site_fract_x
_atom_site_fract_y
_atom_site_fract_z
La1 0.0000 0.0484 0.0000
La2 0.0000 0.2787 0.7815
Ni1 0.0000 0.3956 0.1927
O1 0.0000 0.0974 0.6683
O2 0.0000 0.2497 0.1230
O3 0.0000 0.3554 0.4557
O4 0.0000 0.4541 0.8152
```

Main lines, by angle (2θ = 10–90°):
- 2θ = 26.18°, I = 81, (1 1 1)
- 2θ = 27.80°, I = 100, (0 2 2)
- 2θ = 28.55°, I = 58, (0 4 1)
- 2θ = 29.47°, I = 67, (1 3 0)
- 2θ = 32.01°, I = 85, (1 3 1)
- 2θ = 33.97°, I = 100, (1 1 2)
- 2θ = 39.54°, I = 38, (0 2 3)
- 2θ = 41.00°, I = 40, (0 6 1)
- 2θ = 41.50°, I = 70, (1 5 1)
- 2θ = 45.17°, I = 51, (2 0 0)

(2)
For La2NiO4, a structure optimized by DFT (GGA+U) gives the computed X-ray diffraction stick pattern in this record (Cu Kα X-rays).
Neutral-atom scattering factors, no anomalous dispersion.

Cell and atoms:
```
data_La2NiO4
_chemical_formula_sum 'La8 Ni4 O16'
_symmetry_space_group_name_H-M 'P 42/n c m'
_symmetry_Int_Tables_number 138
_cell_length_a 5.6185
_cell_length_b 5.6185
_cell_length_c 12.3980
_cell_angle_alpha 90.00
_cell_angle_beta 90.00
_cell_angle_gamma 90.00
loop_
_symmetry_equiv_pos_as_xyz
'x,y,z'
'-x,-y,-z'
'-y+1/2,x,z+1/2'
'y+1/2,-x,-z+1/2'
'-x+1/2,-y+1/2,z'
'x+1/2,y+1/2,-z'
'y,-x+1/2,z+1/2'
'-y,x+1/2,-z+1/2'
'x+1/2,-y,-z+1/2'
'-x+1/2,y,z+1/2'
'-y,-x,-z'
'y,x,z'
'-x,y+1/2,-z+1/2'
'x,-y+1/2,z+1/2'
'y+1/2,x+1/2,-z'
'-y+1/2,-x+1/2,z'
loop_
_atom_site_label
_atom_site_fract_x
_atom_site_fract_y
_atom_site_fract_z
La1 0.0133 0.0133 0.1371
Ni1 0.0000 0.0000 0.5000
O1 0.0490 0.0490 0.6793
O2 0.2500 0.2500 0.4733
O3 0.2500 0.7500 0.0000
```

Main lines, by angle (2θ = 10–90°):
- 2θ = 23.51°, I = 27, (1 1 1)
- 2θ = 28.80°, I = 13, (0 0 4)
- 2θ = 31.23°, I = 100, (1 1 3)
- 2θ = 31.86°, I = 73, (2 0 0)
- 2θ = 43.00°, I = 22, (1 1 5)
- 2θ = 43.48°, I = 29, (2 0 4)
- 2θ = 45.67°, I = 36, (2 2 0)
- 2θ = 56.37°, I = 39, (3 1 3)
- 2θ = 56.92°, I = 10, (1 1 7)
- 2θ = 64.52°, I = 11, (3 1 5)

(3)
For La2Ni2O5, a structure optimized by DFT (GGA+U) gives the computed X-ray diffraction stick pattern in this record (Cu Kα X-rays).
Neutral-atom scattering factors, no anomalous dispersion.

Cell and atoms:
```
data_La2Ni2O5
_chemical_formula_sum 'La8 Ni8 O20'
_symmetry_space_group_name_H-M 'C 1 2/c 1'
_symmetry_Int_Tables_number 15
_cell_length_a 7.8709
_cell_length_b 7.9686
_cell_length_c 7.5599
_cell_angle_alpha 90.00
_cell_angle_beta 96.12
_cell_angle_gamma 90.00
loop_
_symmetry_equiv_pos_as_xyz
'x,y,z'
'-x,-y,-z'
'-x,y,-z+1/2'
'x,-y,z+1/2'
'x+1/2,y+1/2,z'
'-x+1/2,-y+1/2,-z'
'-x+1/2,y+1/2,-z+1/2'
'x+1/2,-y+1/2,z+1/2'
loop_
_atom_site_label
_atom_site_fract_x
_atom_site_fract_y
_atom_site_fract_z
La1 0.2471 0.2304 0.2486
Ni1 0.0000 0.0000 0.0000
Ni2 0.0000 0.5000 0.0000
O1 0.0000 0.4393 0.7500
O2 0.0373 0.2316 0.4554
O3 0.2288 0.0435 0.9604
```

Main lines, by angle (2θ = 10–90°):
- 2θ = 31.19°, I = 54, (2 0 -2)
- 2θ = 32.06°, I = 89, (2 2 0)
- 2θ = 32.76°, I = 100, (0 2 2)
- 2θ = 34.82°, I = 46, (2 0 2)
- 2θ = 45.53°, I = 23, (0 4 0)
- 2θ = 46.41°, I = 27, (4 0 0)
- 2θ = 48.44°, I = 23, (0 0 4)
- 2θ = 55.60°, I = 25, (4 2 -2)
- 2θ = 56.22°, I = 20, (2 4 -2)
- 2θ = 56.95°, I = 21, (2 2 -4)

(4)
For La2NiO4, a structure optimized by DFT (GGA+U) gives the computed X-ray diffraction stick pattern in this record (Cu Kα X-rays).
Neutral-atom scattering factors, no anomalous dispersion.

Cell and atoms:
```
data_La2NiO4
_chemical_formula_sum 'La8 Ni4 O16'
_symmetry_space_group_name_H-M 'C m c e'
_symmetry_Int_Tables_number 64
_symmetry_space_group_name_Hall '-C 2ac 2'
_cell_length_a 5.5194
_cell_length_b 12.4197
_cell_length_c 5.6968
_cell_angle_alpha 90.00
_cell_angle_beta 90.00
_cell_angle_gamma 90.00
loop_
_atom_site_label
_atom_site_fract_x
_atom_site_fract_y
_atom_site_fract_z
La1 0.0000 0.1372 0.0146
Ni1 0.0000 0.0000 0.5000
O1 0.0000 0.1793 0.4339
O2 0.2500 0.0186 0.7500
```

Main lines, by angle (2θ = 10–90°):
- 2θ = 23.56°, I = 27, (1 1 1)
- 2θ = 31.24°, I = 100, (1 3 1)
- 2θ = 31.41°, I = 36, (0 0 2)
- 2θ = 32.44°, I = 37, (2 0 0)
- 2θ = 42.97°, I = 22, (1 5 1)
- 2θ = 43.10°, I = 15, (0 4 2)
- 2θ = 43.89°, I = 15, (2 4 0)
- 2θ = 45.78°, I = 36, (2 0 2)
- 2θ = 55.81°, I = 21, (1 3 3)
- 2θ = 57.12°, I = 18, (3 3 1)

(5)
For La4NiO8, a structure optimized by DFT (GGA+U) gives the computed X-ray diffraction stick pattern in this record (Cu Kα X-rays).
Neutral-atom scattering factors, no anomalous dispersion.

Cell and atoms:
```
data_La4NiO8
_chemical_formula_sum 'La8 Ni2 O16'
_symmetry_space_group_name_H-M 'C m m m'
_symmetry_Int_Tables_number 65
_symmetry_space_group_name_Hall '-C 2 2'
_cell_length_a 5.3299
_cell_length_b 12.7370
_cell_length_c 5.3365
_cell_angle_alpha 90.00
_cell_angle_beta 90.00
_cell_angle_gamma 90.00
loop_
_atom_site_label
_atom_site_fract_x
_atom_site_fract_y
_atom_site_fract_z
La1 0.0000 0.1326 0.0000
La2 0.0000 0.3661 0.5000
Ni1 0.0000 0.5000 0.0000
O1 0.0000 0.1881 0.5000
O2 0.0000 0.3414 0.0000
O3 0.2492 0.5000 0.2378
```

Main lines, by angle (2θ = 10–90°):
- 2θ = 24.62°, I = 70, (1 1 1)
- 2θ = 28.02°, I = 31, (0 4 0)
- 2θ = 31.74°, I = 100, (1 3 1)
- 2θ = 33.61°, I = 82, (0 0 2)
- 2θ = 42.84°, I = 32, (1 5 1)
- 2θ = 44.31°, I = 62, (2 4 0)
- 2θ = 48.27°, I = 42, (2 0 2)
- 2θ = 56.12°, I = 18, (1 7 1)
- 2θ = 56.74°, I = 19, (2 4 2)
- 2θ = 58.93°, I = 36, (3 3 1)

(6)
For La3NiWS3O6, a structure optimized by DFT (GGA+U) gives the computed X-ray diffraction stick pattern in this record (Cu Kα X-rays).
Neutral-atom scattering factors, no anomalous dispersion.

Cell and atoms:
```
data_La3NiWS3O6
_chemical_formula_sum 'La6 Ni2 W2 S6 O12'
_symmetry_space_group_name_H-M 'P 63/m'
_symmetry_Int_Tables_number 176
_symmetry_space_group_name_Hall '-P 6c'
_cell_length_a 9.4884
_cell_length_b 9.4884
_cell_length_c 5.5665
_cell_angle_alpha 90.00
_cell_angle_beta 90.00
_cell_angle_gamma 120.00
loop_
_atom_site_label
_atom_site_fract_x
_atom_site_fract_y
_atom_site_fract_z
La1 0.0885 0.4053 0.2500
Ni1 0.0000 0.0000 0.0000
W1 0.3333 0.6667 0.7500
S1 0.0458 0.2242 0.7500
O1 0.1604 0.6338 0.5232
```

Main lines, by angle (2θ = 10–90°):
- 2θ = 24.66°, I = 58, (1 1 1)
- 2θ = 26.97°, I = 60, (2 0 1)
- 2θ = 28.74°, I = 31, (1 2 0)
- 2θ = 32.16°, I = 24, (0 0 2)
- 2θ = 32.69°, I = 27, (3 0 0)
- 2θ = 33.03°, I = 100, (2 1 1)
- 2θ = 43.67°, I = 41, (2 1 2)
- 2θ = 50.93°, I = 23, (4 1 0)
- 2θ = 51.16°, I = 32, (2 3 1)
- 2θ = 57.89°, I = 21, (2 1 3)

Question: Number 6 is which compound?
Answer: La3NiWS3O6